[1]
Computed X-ray powder pattern
Compound: SrLaTiMnO6
Radiation: Cu Kα (λ = 1.5418 Å)
Structure: a PBE+U-relaxed structure
Lines closer than 0.1° are merged.

Largest 10 diffraction maxima, in order of rising 2θ, 2θ from 15° to 90°:
Position (°2θ), d/Å, Rel. int., index
22.50, 3.951, 15, 0 2 1
31.98, 2.799, 100, 0 0 2
32.15, 2.784, 51, 2 2 1
39.51, 2.281, 14, 2 4 0
45.90, 1.977, 35, 0 4 2
46.01, 1.973, 17, 4 0 0
56.87, 1.619, 16, 4 0 -2
57.03, 1.615, 11, 2 6 -1
57.16, 1.612, 20, 4 4 0
76.13, 1.250, 12, 0 4 4

Cell and atoms:
Lattice parameters (Å, degrees): 7.8912 11.1796 5.5936 90.00 90.51 90.00
Space group P2/c (No. 13)
One atom of each set of equivalent atoms:
1 Sr 0.0000 0.1254 0.2500 (multiplicity 2)
2 Sr 0.5000 0.1269 0.2500 (multiplicity 2)
3 La 0.0000 0.3744 0.7500 (multiplicity 2)
4 La 0.5000 0.3772 0.7500 (multiplicity 2)
5 Ti 0.2487 0.1248 0.7543 (multiplicity 4)
6 Mn 0.2507 0.3741 0.2479 (multiplicity 4)
7 O 0.0000 0.1054 0.7500 (multiplicity 2)
8 O 0.0000 0.4052 0.2500 (multiplicity 2)
9 O 0.2252 0.2380 0.0132 (multiplicity 4)
10 O 0.2257 0.2636 0.5388 (multiplicity 4)
11 O 0.2711 0.0101 0.4831 (multiplicity 4)
12 O 0.2763 0.4865 0.9694 (multiplicity 4)
13 O 0.5000 0.1517 0.7500 (multiplicity 2)
14 O 0.5000 0.3568 0.2500 (multiplicity 2)

***

[2]
Computed X-ray powder pattern
Compound: Cs2V2H2O7
Radiation: Cu Kα (λ = 1.5418 Å)
Structure: a PBE+U-relaxed structure
Lines closer than 0.1° are merged.

Largest 10 diffraction maxima, in order of rising 2θ, 2θ from 15° to 90°:
Position (°2θ), d/Å, Rel. int., index
21.49, 4.135, 33, 0 4 1
22.97, 3.872, 48, 1 3 1
24.35, 3.656, 31, 1 4 0
24.72, 3.601, 84, 1 0 2
25.19, 3.535, 36, 1 1 2
26.28, 3.391, 100, 1 4 1
27.49, 3.245, 29, 0 4 2
30.55, 2.926, 29, 2 1 0
35.43, 2.534, 41, 0 4 3
45.29, 2.002, 28, 2 3 3

Cell and atoms:
Lattice parameters (Å, degrees): 5.9254 18.5836 9.0682 90.00 90.00 90.00
Space group Pbcm (No. 57)
One atom of each set of equivalent atoms:
1 Cs 0.0902 0.2019 0.2500 (multiplicity 4)
2 Cs 0.0960 0.0358 0.7500 (multiplicity 4)
3 V 0.3792 0.6613 0.5602 (multiplicity 8)
4 H 0.4604 0.0645 0.1652 (multiplicity 8)
5 O 0.2702 0.5972 0.0501 (multiplicity 8)
6 O 0.2773 0.6504 0.7500 (multiplicity 4)
7 O 0.2806 0.7500 0.0000 (multiplicity 4)
8 O 0.3395 0.1575 0.5538 (multiplicity 8)
9 O 0.3663 0.0505 0.2500 (multiplicity 4)

***

[3]
Computed X-ray powder pattern
Compound: Cr2Cu3O12F12
Radiation: Cu Kα (λ = 1.5418 Å)
Structure: a PBE+U-relaxed structure
Lines closer than 0.1° are merged.

Largest 10 diffraction maxima, in order of rising 2θ, 2θ from 15° to 90°:
Position (°2θ), d/Å, Rel. int., index
16.75, 5.294, 13, 1 0 1
18.78, 4.726, 22, 1 -1 1
19.31, 4.598, 24, -1 1 1
19.50, 4.552, 39, 1 1 -1
21.83, 4.071, 43, 1 1 1
22.71, 3.916, 60, 0 0 2
23.14, 3.844, 100, 0 2 0
30.72, 2.910, 13, 0 2 -2
38.64, 2.330, 15, 1 3 -1
50.45, 1.809, 14, 0 4 -2

Cell and atoms:
Lattice parameters (Å, degrees): 7.7427 7.7966 7.8945 95.87 93.39 96.60
Space group P1 (No. 1)
One atom of each set of equivalent atoms:
1 Cr 0.0000 0.0000 0.0000 (multiplicity 1)
2 Cr 0.4977 0.5032 0.5013 (multiplicity 1)
3 Cu 0.0083 0.5006 0.4989 (multiplicity 1)
4 Cu 0.4966 0.5025 0.0003 (multiplicity 1)
5 Cu 0.4988 0.0024 0.5000 (multiplicity 1)
6 O 0.0046 0.3269 0.6528 (multiplicity 1)
7 O 0.0658 0.4763 0.7322 (multiplicity 1)
8 O 0.2560 0.0460 0.4984 (multiplicity 1)
9 O 0.2727 0.5785 0.0372 (multiplicity 1)
10 O 0.3265 0.0711 0.6519 (multiplicity 1)
11 O 0.3796 0.7069 0.0020 (multiplicity 1)
12 O 0.6135 0.2988 0.9999 (multiplicity 1)
13 O 0.6704 0.9336 0.3488 (multiplicity 1)
14 O 0.7205 0.4275 0.9653 (multiplicity 1)
15 O 0.7404 0.9590 0.5025 (multiplicity 1)
16 O 0.9346 0.5274 0.2711 (multiplicity 1)
17 O 0.9959 0.6767 0.3510 (multiplicity 1)
18 F 0.0542 0.2193 0.9497 (multiplicity 1)
19 F 0.0587 0.9126 0.7926 (multiplicity 1)
20 F 0.2210 0.0034 0.0843 (multiplicity 1)
21 F 0.2678 0.4239 0.4239 (multiplicity 1)
22 F 0.4270 0.7269 0.5418 (multiplicity 1)
23 F 0.4405 0.4562 0.7216 (multiplicity 1)
24 F 0.5514 0.5487 0.2803 (multiplicity 1)
25 F 0.5657 0.2789 0.4601 (multiplicity 1)
26 F 0.7253 0.5825 0.5794 (multiplicity 1)
27 F 0.7775 0.9970 0.9140 (multiplicity 1)
28 F 0.9402 0.0869 0.2056 (multiplicity 1)
29 F 0.9449 0.7804 0.0489 (multiplicity 1)

***

[4]
Computed X-ray powder pattern
Compound: Li9Mn2Co5O16
Radiation: Cu Kα (λ = 1.5418 Å)
Structure: a PBE+U-relaxed structure
Lines closer than 0.1° are merged.

Largest 10 diffraction maxima, in order of rising 2θ, 2θ from 15° to 90°:
Position (°2θ), d/Å, Rel. int., index
18.52, 4.791, 100, 0 1 -1
34.82, 2.576, 17, 2 0 0
36.71, 2.448, 24, 0 1 3
42.03, 2.150, 31, 2 -1 1
44.58, 2.032, 26, 0 0 4
44.74, 2.025, 25, 2 3 1
62.83, 1.479, 15, -2 1 3
63.01, 1.475, 7, 2 -1 5
63.30, 1.469, 7, 0 4 0
65.72, 1.421, 7, 2 3 5

Cell and atoms:
Lattice parameters (Å, degrees): 5.9289 6.4325 8.6121 82.92 70.74 66.01
Space group P1 (No. 1)
One atom of each set of equivalent atoms:
1 Li 0.0000 0.0000 0.0000 (multiplicity 1)
2 Li 0.0003 0.2394 0.2592 (multiplicity 1)
3 Li 0.0112 0.4843 0.5063 (multiplicity 1)
4 Li 0.2541 0.2401 0.7492 (multiplicity 1)
5 Li 0.4971 0.4832 0.5125 (multiplicity 1)
6 Li 0.5018 0.2350 0.2619 (multiplicity 1)
7 Li 0.5115 0.9865 0.0008 (multiplicity 1)
8 Li 0.5154 0.7372 0.7477 (multiplicity 1)
9 Li 0.9974 0.7460 0.7478 (multiplicity 1)
10 Mn 0.2590 0.4851 0.0032 (multiplicity 1)
11 Mn 0.7621 0.4851 0.0048 (multiplicity 1)
12 Co 0.2483 0.9953 0.5050 (multiplicity 1)
13 Co 0.2550 0.7410 0.2576 (multiplicity 1)
14 Co 0.7400 0.9983 0.5061 (multiplicity 1)
15 Co 0.7528 0.7409 0.2567 (multiplicity 1)
16 Co 0.7549 0.2374 0.7539 (multiplicity 1)
17 O 0.0924 0.0161 0.7404 (multiplicity 1)
18 O 0.1012 0.2693 0.0065 (multiplicity 1)
19 O 0.1402 0.7540 0.4942 (multiplicity 1)
20 O 0.1436 0.5033 0.2448 (multiplicity 1)
21 O 0.3671 0.9769 0.2648 (multiplicity 1)
22 O 0.3693 0.2223 0.5046 (multiplicity 1)
23 O 0.4001 0.7151 0.0150 (multiplicity 1)
24 O 0.4104 0.4672 0.7668 (multiplicity 1)
25 O 0.6419 0.0057 0.7431 (multiplicity 1)
26 O 0.6435 0.5010 0.2444 (multiplicity 1)
27 O 0.6441 0.7510 0.4928 (multiplicity 1)
28 O 0.6523 0.2429 0.9947 (multiplicity 1)
29 O 0.8531 0.2336 0.5192 (multiplicity 1)
30 O 0.8602 0.4789 0.7686 (multiplicity 1)
31 O 0.8641 0.7323 0.0139 (multiplicity 1)
32 O 0.8690 0.9749 0.2655 (multiplicity 1)

***

[5]
Computed X-ray powder pattern
Compound: CoH2O2
Radiation: Cu Kα (λ = 1.5418 Å)
Structure: a PBE+U-relaxed structure
Lines closer than 0.1° are merged.

Largest 10 diffraction maxima, in order of rising 2θ, 2θ from 15° to 90°:
Position (°2θ), d/Å, Rel. int., index
18.03, 4.920, 100, 0 0 1
32.56, 2.750, 18, 0 1 0
32.90, 2.722, 17, 1 0 0
33.10, 2.706, 18, 1 1 1
39.95, 2.257, 24, 0 1 -1
40.83, 2.210, 23, 1 0 -1
41.29, 2.187, 22, 1 1 2
57.38, 1.606, 8, 1 -1 0
57.55, 1.601, 7, 1 2 1
61.15, 1.516, 8, 0 1 3

Cell and atoms:
Lattice parameters (Å, degrees): 3.1938 3.2049 5.2125 74.07 72.80 60.27
Space group P-1 (No. 2)
One atom of each set of equivalent atoms:
1 Co 0.0000 0.0000 0.0000 (multiplicity 1)
2 H 0.2010 0.1977 0.4104 (multiplicity 2)
3 O 0.2653 0.2641 0.2128 (multiplicity 2)

***

[6]
Computed X-ray powder pattern
Compound: Mg14CrSnO16
Radiation: Cu Kα (λ = 1.5418 Å)
Structure: a PBE+U-relaxed structure
Lines closer than 0.1° are merged.

Largest 10 diffraction maxima, in order of rising 2θ, 2θ from 15° to 90°:
Position (°2θ), d/Å, Rel. int., index
20.33, 4.368, 16, 2 0 0
25.14, 3.543, 18, 1 1 1
29.06, 3.073, 13, 2 0 1
35.72, 2.513, 37, 2 2 1
41.34, 2.184, 100, 4 0 0
41.77, 2.162, 49, 0 0 2
59.89, 1.544, 29, 4 4 0
60.23, 1.537, 57, 4 0 2
71.73, 1.316, 14, 6 2 1
75.68, 1.257, 26, 4 4 2

Cell and atoms:
Lattice parameters (Å, degrees): 8.7360 8.7360 4.3246 90.00 90.00 90.00
Space group P4/mmm (No. 123)
One atom of each set of equivalent atoms:
1 Mg 0.0000 0.2521 0.0000 (multiplicity 4)
2 Mg 0.0000 0.5000 0.5000 (multiplicity 2)
3 Mg 0.2400 0.5000 0.0000 (multiplicity 4)
4 Mg 0.2457 0.2457 0.5000 (multiplicity 4)
5 Cr 0.0000 0.0000 0.5000 (multiplicity 1)
6 Sn 0.5000 0.5000 0.5000 (multiplicity 1)
7 O 0.0000 0.0000 0.0000 (multiplicity 1)
8 O 0.0000 0.2558 0.5000 (multiplicity 4)
9 O 0.0000 0.5000 0.0000 (multiplicity 2)
10 O 0.2294 0.5000 0.5000 (multiplicity 4)
11 O 0.2493 0.2493 0.0000 (multiplicity 4)
12 O 0.5000 0.5000 0.0000 (multiplicity 1)

***

[7]
Computed X-ray powder pattern
Compound: MgFe6O10F2
Radiation: Cu Kα (λ = 1.5418 Å)
Structure: a PBE+U-relaxed structure
Lines closer than 0.1° are merged.

Largest 10 diffraction maxima, in order of rising 2θ, 2θ from 15° to 90°:
Position (°2θ), d/Å, Rel. int., index
25.94, 3.435, 100, 0 2 1
26.27, 3.393, 95, 0 0 3
35.06, 2.560, 61, 1 1 -1
35.25, 2.546, 30, 1 1 2
35.39, 2.537, 27, -1 1 2
36.75, 2.445, 22, 0 2 -2
52.15, 1.754, 32, 1 3 3
52.37, 1.747, 20, -1 3 3
61.76, 1.502, 20, 2 0 0
65.10, 1.433, 27, 1 3 -3

Cell and atoms:
Lattice parameters (Å, degrees): 3.0041 6.8729 10.6626 72.66 89.78 89.83
Space group P1 (No. 1)
One atom of each set of equivalent atoms:
1 Mg 0.0000 0.0000 0.0000 (multiplicity 1)
2 Fe 0.4933 0.9970 0.4999 (multiplicity 1)
3 Fe 0.4963 0.3509 0.8293 (multiplicity 1)
4 Fe 0.4983 0.6248 0.1672 (multiplicity 1)
5 Fe 0.9882 0.8212 0.8114 (multiplicity 1)
6 Fe 0.9947 0.5054 0.4796 (multiplicity 1)
7 Fe 0.9972 0.1799 0.1900 (multiplicity 1)
8 O 0.4903 0.8925 0.6928 (multiplicity 1)
9 O 0.4960 0.1009 0.3079 (multiplicity 1)
10 O 0.4960 0.5530 0.3622 (multiplicity 1)
11 O 0.4973 0.1746 0.0502 (multiplicity 1)
12 O 0.5005 0.8116 0.9638 (multiplicity 1)
13 O 0.9908 0.8100 0.4924 (multiplicity 1)
14 O 0.9947 0.5289 0.8376 (multiplicity 1)
15 O 0.9964 0.1873 0.5017 (multiplicity 1)
16 O 0.9968 0.1687 0.8178 (multiplicity 1)
17 O 0.9993 0.4693 0.1480 (multiplicity 1)
18 F 0.4943 0.4515 0.6199 (multiplicity 1)
19 F 0.9976 0.8349 0.1835 (multiplicity 1)